Mg16Al12Os: theoretical powder diffraction line list (Cu Kα, 1.54184 Å), based on DFT lattice parameters and positions (GGA-PBE).
Peak positions follow from Bragg's law for the DFT cell and can differ from measured ones.

Structure:
Lattice parameters (Å, degrees): 8.9381 8.9381 8.9381 108.43 108.43 108.43
Element x y z (fractional)
1 Mg 0.0000 0.0000 0.0000
2 Mg 0.0207 0.0207 0.6619
3 Mg 0.0207 0.6619 0.0207
4 Mg 0.0253 0.4238 0.6964
5 Mg 0.0253 0.6964 0.4238
6 Mg 0.3305 0.5782 0.5782
7 Mg 0.3345 0.3345 0.7437
8 Mg 0.3345 0.7437 0.3345
9 Mg 0.4238 0.0253 0.6964
10 Mg 0.4238 0.6964 0.0253
11 Mg 0.5782 0.3305 0.5782
12 Mg 0.5782 0.5782 0.3305
13 Mg 0.6619 0.0207 0.0207
14 Mg 0.6964 0.0253 0.4238
15 Mg 0.6964 0.4238 0.0253
16 Mg 0.7437 0.3345 0.3345
17 Al 0.0206 0.1996 0.3818
18 Al 0.0206 0.3818 0.1996
19 Al 0.1996 0.0206 0.3818
20 Al 0.1996 0.3818 0.0206
21 Al 0.2186 0.8266 0.8266
22 Al 0.3818 0.0206 0.1996
23 Al 0.3818 0.1996 0.0206
24 Al 0.6696 0.6696 0.8633
25 Al 0.6696 0.8633 0.6696
26 Al 0.8266 0.2186 0.8266
27 Al 0.8266 0.8266 0.2186
28 Al 0.8633 0.6696 0.6696
29 Os 0.2796 0.2796 0.2796

Top 10 peaks for 15° ≤ 2θ ≤ 90°, in order of rising 2θ:
17.0 deg, d = 5.220 Å, intensity 55.6
20.2 deg, d = 4.397 Å, intensity 58.0
21.0 deg, d = 4.236 Å, intensity 64.7
34.4 deg, d = 2.610 Å, intensity 64.4
35.8 deg, d = 2.507 Å, intensity 67.1
36.6 deg, d = 2.456 Å, intensity 47.0
37.1 deg, d = 2.426 Å, intensity 100.0
37.2 deg, d = 2.417 Å, intensity 53.6
41.2 deg, d = 2.193 Å, intensity 60.3
43.9 deg, d = 2.062 Å, intensity 68.8

---

Mg16Al12P: theoretical powder diffraction line list (Cu Kα, 1.54184 Å), based on DFT lattice parameters and positions (GGA-PBE).
Peak positions follow from Bragg's law for the DFT cell and can differ from measured ones.

Structure:
Lattice parameters (Å, degrees): 9.0513 9.0513 9.0513 109.06 109.06 109.06
Element x y z (fractional)
1 Mg 0.0000 0.0000 0.0000
2 Mg 0.0022 0.0022 0.6544
3 Mg 0.0022 0.6544 0.0022
4 Mg 0.0039 0.4070 0.6839
5 Mg 0.0039 0.6839 0.4070
6 Mg 0.2978 0.5820 0.5820
7 Mg 0.3179 0.3179 0.7224
8 Mg 0.3179 0.7224 0.3179
9 Mg 0.4070 0.0039 0.6839
10 Mg 0.4070 0.6839 0.0039
11 Mg 0.5820 0.2978 0.5820
12 Mg 0.5820 0.5820 0.2978
13 Mg 0.6544 0.0022 0.0022
14 Mg 0.6839 0.0039 0.4070
15 Mg 0.6839 0.4070 0.0039
16 Mg 0.7224 0.3179 0.3179
17 Al 0.1835 0.3701 0.9988
18 Al 0.1835 0.9988 0.3701
19 Al 0.1946 0.8160 0.8160
20 Al 0.3701 0.1835 0.9988
21 Al 0.3701 0.9988 0.1835
22 Al 0.6448 0.6448 0.8337
23 Al 0.6448 0.8337 0.6448
24 Al 0.8160 0.1946 0.8160
25 Al 0.8160 0.8160 0.1946
26 Al 0.8337 0.6448 0.6448
27 Al 0.9988 0.1835 0.3701
28 Al 0.9988 0.3701 0.1835
29 P 0.2927 0.2927 0.2927

Top 10 peaks for 15° ≤ 2θ ≤ 90°, in order of rising 2θ:
34.1 deg, d = 2.626 Å, intensity 30.3
36.0 deg, d = 2.494 Å, intensity 81.4
36.3 deg, d = 2.473 Å, intensity 86.2
36.5 deg, d = 2.460 Å, intensity 100.0
39.7 deg, d = 2.272 Å, intensity 23.4
40.4 deg, d = 2.235 Å, intensity 35.9
40.5 deg, d = 2.226 Å, intensity 35.6
43.8 deg, d = 2.066 Å, intensity 20.0
44.3 deg, d = 2.046 Å, intensity 19.5
65.2 deg, d = 1.431 Å, intensity 23.5